No. 1
The following is a simulated powder X-ray diffraction pattern of Er2O3. It was derived from a crystal structure in the Materials Project, relaxed with PBE, using CuKα.
Kinematic intensities with the Lorentz-polarization factor, no thermal factor.

Most intense lines, 2θ from 10° to 90°, sorted by position:
20.6°, I 10
29.3°, I 100
34.0°, I 35
36.1°, I 6
43.8°, I 8
48.8°, I 38
53.5°, I 5
58.0°, I 31
59.4°, I 6
60.8°, I 7
79.1°, I 9
81.6°, I 7

Crystal structure
```
Er2O3
1.0
-5.275 5.275 5.275
5.275 -5.275 5.275
5.275 5.275 -5.275
Er O
16 24
Direct
0.000 0.000 0.000
0.000 0.500 0.500
0.033 0.783 0.250
0.217 0.750 0.967
0.250 0.033 0.783
0.250 0.533 0.283
0.283 0.250 0.533
0.467 0.717 0.750
0.500 0.000 0.500
0.500 0.500 0.000
0.533 0.283 0.250
0.717 0.750 0.467
0.750 0.467 0.717
0.750 0.967 0.217
0.783 0.250 0.033
0.967 0.217 0.750
0.011 0.468 0.739
0.032 0.043 0.271
0.043 0.271 0.032
0.228 0.457 0.489
0.229 0.272 0.761
0.239 0.771 0.728
0.261 0.989 0.532
0.271 0.032 0.043
0.272 0.761 0.229
0.457 0.489 0.228
0.468 0.739 0.011
0.489 0.228 0.457
0.511 0.772 0.543
0.532 0.261 0.989
0.543 0.511 0.772
0.728 0.239 0.771
0.729 0.968 0.957
0.739 0.011 0.468
0.761 0.229 0.272
0.771 0.728 0.239
0.772 0.543 0.511
0.957 0.729 0.968
0.968 0.957 0.729
0.989 0.532 0.261
```

=====

No. 2
The following is a simulated powder X-ray diffraction pattern of Bi2Pb2Se5. It was derived from a crystal structure in the Materials Project, relaxed with PBE, using CuKα.
Kinematic intensities with the Lorentz-polarization factor, no thermal factor.

Most intense lines, 2θ from 10° to 90°, sorted by position:
21.1°, I 10
24.6°, I 15
26.3°, I 9
28.9°, I 100
40.3°, I 40
42.3°, I 37
47.7°, I 7
52.0°, I 20
59.8°, I 13
66.3°, I 17
69.1°, I 17
75.9°, I 13

Crystal structure
```
Bi2Pb2Se5
1.0
4.278 0.000 0.000
-2.139 3.705 0.000
0.000 0.000 16.875
Bi Pb Se
2 2 5
Direct
0.000 0.000 0.166
0.000 0.000 0.834
0.333 0.667 0.611
0.667 0.333 0.389
0.000 0.000 0.500
0.333 0.667 0.279
0.333 0.667 0.923
0.667 0.333 0.077
0.667 0.333 0.721
```

=====

No. 3
The following is a simulated powder X-ray diffraction pattern of KI. It was derived from a crystal structure in the Materials Project, relaxed with PBE, using CuKα.
Kinematic intensities with the Lorentz-polarization factor, no thermal factor.

Most intense lines, 2θ from 10° to 90°, sorted by position:
20.5°, I 24
23.0°, I 100
23.3°, I 56
29.1°, I 58
29.4°, I 21
35.7°, I 19
36.4°, I 36
37.4°, I 28
37.6°, I 16
42.1°, I 13
43.1°, I 21
56.5°, I 19

Crystal structure
```
KI
1.0
5.025 0.000 0.000
0.000 8.510 0.000
0.000 0.000 8.677
K I
4 4
Direct
0.000 0.000 0.000
0.000 0.000 0.500
0.500 0.500 0.000
0.500 0.500 0.500
0.000 0.340 0.250
0.000 0.660 0.750
0.500 0.160 0.750
0.500 0.840 0.250
```

=====

No. 4
The following is a simulated powder X-ray diffraction pattern of HgHOF. It was derived from a crystal structure in the Materials Project, relaxed with PBE, using CuKα.
Kinematic intensities with the Lorentz-polarization factor, no thermal factor.

Most intense lines, 2θ from 10° to 90°, sorted by position:
22.8°, I 100
28.7°, I 35
29.2°, I 42
31.1°, I 56
35.8°, I 14
42.8°, I 44
46.5°, I 16
46.9°, I 39
47.5°, I 17
51.2°, I 14
57.6°, I 17
64.0°, I 13

Crystal structure
```
HgHOF
1.0
5.013 0.000 0.000
0.000 6.218 0.000
0.000 0.000 7.022
Hg H O F
4 4 4 4
Direct
0.249 0.000 0.124
0.251 0.000 0.624
0.749 0.500 0.876
0.751 0.500 0.376
0.143 0.496 0.124
0.357 0.504 0.624
0.643 0.004 0.876
0.857 0.996 0.376
0.033 0.909 0.375
0.467 0.091 0.875
0.533 0.591 0.625
0.967 0.409 0.125
0.098 0.392 0.625
0.402 0.608 0.125
0.598 0.108 0.375
0.902 0.892 0.875
```

=====

No. 5
The following is a simulated powder X-ray diffraction pattern of Ce2CrN3. It was derived from a crystal structure in the Materials Project, relaxed with PBE, using CuKα.
Kinematic intensities with the Lorentz-polarization factor, no thermal factor.

Most intense lines, 2θ from 10° to 90°, sorted by position:
24.8°, I 26
28.3°, I 25
32.0°, I 80
33.5°, I 86
35.3°, I 100
43.1°, I 21
45.9°, I 35
48.7°, I 22
52.9°, I 17
56.9°, I 30
60.4°, I 31
63.2°, I 24

Crystal structure
```
Ce2CrN3
1.0
3.463 0.000 0.000
0.000 3.741 0.000
0.000 0.000 12.594
Ce Cr N
4 2 6
Direct
0.000 0.000 0.147
0.000 0.000 0.853
0.500 0.500 0.353
0.500 0.500 0.647
0.000 0.000 0.500
0.500 0.500 0.000
0.000 0.000 0.336
0.000 0.000 0.664
0.000 0.500 0.500
0.500 0.000 0.000
0.500 0.500 0.164
0.500 0.500 0.836
```

=====

No. 6
The following is a simulated powder X-ray diffraction pattern of Sm4TiFe33. It was derived from a crystal structure in the Materials Project, relaxed with PBE, using CuKα.
Kinematic intensities with the Lorentz-polarization factor, no thermal factor.

Most intense lines, 2θ from 10° to 90°, sorted by position:
30.1°, I 56
36.4°, I 40
36.6°, I 20
37.8°, I 37
42.3°, I 30
42.5°, I 58
42.7°, I 100
42.8°, I 50
43.5°, I 17
43.6°, I 55
48.1°, I 20
62.5°, I 26

Crystal structure
```
Sm4TiFe33
1.0
4.819 -4.277 0.000
4.819 4.277 0.000
-2.151 0.000 12.672
Sm Ti Fe
4 1 33
Direct
0.000 0.000 0.000
0.001 0.001 0.502
0.313 0.313 0.346
0.318 0.318 0.842
0.567 0.567 0.218
0.000 0.000 0.250
0.001 0.503 0.000
0.001 0.503 0.501
0.002 0.002 0.749
0.157 0.660 0.171
0.159 0.660 0.672
0.316 0.817 0.343
0.317 0.317 0.092
0.317 0.317 0.594
0.318 0.815 0.842
0.363 0.661 0.023
0.363 0.956 0.171
0.366 0.660 0.525
0.369 0.950 0.672
0.503 0.001 0.000
0.503 0.001 0.501
0.564 0.564 0.720
0.659 0.659 0.921
0.659 0.952 0.818
0.659 0.957 0.320
0.660 0.157 0.171
0.660 0.159 0.672
0.660 0.366 0.525
0.660 0.660 0.423
0.661 0.363 0.023
0.755 0.755 0.624
0.757 0.757 0.122
0.815 0.318 0.842
0.817 0.316 0.343
0.950 0.369 0.672
0.952 0.659 0.818
0.956 0.363 0.171
0.957 0.659 0.320
```

=====

No. 7
The following is a simulated powder X-ray diffraction pattern of SnO2. It was derived from a crystal structure in the Materials Project, relaxed with PBE, using CuKα.
Kinematic intensities with the Lorentz-polarization factor, no thermal factor.

Most intense lines, 2θ from 10° to 90°, sorted by position:
30.1°, I 100
34.9°, I 27
50.1°, I 57
59.6°, I 45
62.5°, I 8
73.6°, I 9
81.5°, I 20
84.1°, I 13

Crystal structure
```
SnO2
1.0
5.148 0.000 0.000
0.000 5.148 0.000
0.000 0.000 5.148
Sn O
4 8
Direct
0.000 0.000 0.000
0.000 0.500 0.500
0.500 0.000 0.500
0.500 0.500 0.000
0.250 0.250 0.250
0.250 0.250 0.750
0.250 0.750 0.250
0.250 0.750 0.750
0.750 0.250 0.250
0.750 0.250 0.750
0.750 0.750 0.250
0.750 0.750 0.750
```